Record 1
Starting from a cell relaxed with GGA-PBE, the powder diffractogram of LiSNO4 was computed for CuKα.
Intensities are scaled so that the largest is 100.

Largest 10 diffraction maxima, low angle first, 10 to 90 degrees two-theta:
two_theta	I/Imax
13.7	38.9
18.9	33.5
19.0	16.9
19.8	51.9
21.3	100.0
21.4	22.5
21.5	22.0
27.1	30.6
27.5	46.3
33.2	19.8

Structure:
a b c (Å): 9.332 5.444 17.933
angles (deg): 90.00 90.34 90.00
Sites, in units of the cell vectors:
Li 0.089 0.233 0.338
Li 0.089 0.267 0.838
Li 0.407 0.230 0.586
Li 0.407 0.270 0.086
Li 0.593 0.730 0.914
Li 0.593 0.770 0.414
Li 0.911 0.733 0.162
Li 0.911 0.767 0.662
S 0.075 0.235 0.148
S 0.075 0.265 0.648
S 0.415 0.239 0.898
S 0.415 0.261 0.398
S 0.585 0.739 0.602
S 0.585 0.761 0.102
S 0.925 0.735 0.352
S 0.925 0.765 0.852
N 0.205 0.747 0.504
N 0.205 0.753 0.004
N 0.282 0.731 0.252
N 0.282 0.769 0.752
N 0.718 0.231 0.248
N 0.718 0.269 0.748
N 0.795 0.247 0.996
N 0.795 0.253 0.496
O 0.024 0.547 0.384
O 0.024 0.953 0.884
O 0.038 0.021 0.618
O 0.038 0.479 0.118
O 0.068 0.235 0.231
O 0.068 0.265 0.731
O 0.222 0.158 0.127
O 0.222 0.342 0.627
O 0.296 0.186 0.349
O 0.296 0.314 0.849
O 0.372 0.226 0.477
O 0.372 0.274 0.977
O 0.446 0.525 0.386
O 0.446 0.975 0.886
O 0.456 0.609 0.117
O 0.456 0.891 0.617
O 0.544 0.109 0.383
O 0.544 0.391 0.883
O 0.554 0.025 0.114
O 0.554 0.475 0.614
O 0.628 0.726 0.023
O 0.628 0.774 0.523
O 0.704 0.686 0.151
O 0.704 0.814 0.651
O 0.778 0.658 0.373
O 0.778 0.842 0.873
O 0.932 0.735 0.269
O 0.932 0.765 0.769
O 0.962 0.521 0.882
O 0.962 0.979 0.382
O 0.976 0.047 0.116
O 0.976 0.453 0.616

=====

Record 2
Starting from a cell relaxed with GGA-PBE, the powder diffractogram of LiSNO4 was computed for CuKα.
Intensities are scaled so that the largest is 100.

Largest 10 diffraction maxima, low angle first, 10 to 90 degrees two-theta:
two_theta	I/Imax
13.9	40.9
18.9	37.3
19.2	17.5
20.1	52.9
21.4	100.0
21.7	48.2
27.3	33.0
27.7	37.1
32.9	18.7
33.5	27.2

Structure:
a b c (Å): 8.847 5.444 9.231
angles (deg): 90.00 90.26 90.00
Sites, in units of the cell vectors:
Li 0.178 0.000 0.412
Li 0.319 0.463 0.916
Li 0.681 0.963 0.084
Li 0.822 0.500 0.588
S 0.202 0.495 0.590
S 0.298 0.971 0.076
S 0.702 0.471 0.924
S 0.798 0.995 0.410
N 0.004 0.503 0.204
N 0.496 0.462 0.283
N 0.504 0.962 0.717
N 0.996 0.003 0.796
O 0.039 0.478 0.630
O 0.224 0.342 0.458
O 0.228 0.209 0.040
O 0.229 0.774 0.985
O 0.237 0.756 0.560
O 0.268 0.898 0.229
O 0.298 0.405 0.709
O 0.463 0.981 0.057
O 0.537 0.481 0.943
O 0.702 0.905 0.291
O 0.732 0.398 0.771
O 0.763 0.256 0.440
O 0.771 0.274 0.015
O 0.772 0.709 0.960
O 0.776 0.842 0.542
O 0.961 0.978 0.370

=====

Record 3
Starting from a cell relaxed with GGA-PBE, the powder diffractogram of LiSiNO was computed for CuKα.
Intensities are scaled so that the largest is 100.

Largest 10 diffraction maxima, low angle first, 10 to 90 degrees two-theta:
two_theta	I/Imax
13.8	100.0
21.9	12.4
28.9	78.5
32.7	41.2
34.3	26.6
37.6	40.2
37.9	20.6
60.4	20.6
68.1	17.8
73.4	13.9

Structure:
a b c (Å): 5.231 6.427 4.781
angles (deg): 90.00 90.00 90.00
Sites, in units of the cell vectors:
Li 0.097 0.114 0.000
Li 0.403 0.114 0.500
Li 0.597 0.886 0.000
Li 0.903 0.886 0.500
Si 0.081 0.620 0.013
Si 0.419 0.620 0.513
Si 0.581 0.380 0.013
Si 0.919 0.380 0.513
N 0.109 0.584 0.649
N 0.391 0.584 0.149
N 0.609 0.416 0.649
N 0.891 0.416 0.149
O 0.038 0.156 0.592
O 0.462 0.156 0.092
O 0.538 0.844 0.592
O 0.962 0.844 0.092

=====

Record 4
Starting from a cell relaxed with GGA-PBE, the powder diffractogram of Sr2LiTi6N2O11 was computed for CuKα.
Intensities are scaled so that the largest is 100.

Largest 10 diffraction maxima, low angle first, 10 to 90 degrees two-theta:
two_theta	I/Imax
13.5	38.0
27.3	46.1
28.3	49.0
29.3	100.0
29.5	78.4
31.1	41.1
32.0	46.7
32.7	41.9
45.2	44.2
46.6	67.3

Structure:
a b c (Å): 3.900 7.788 9.692
angles (deg): 102.14 90.01 104.50
Sites, in units of the cell vectors:
Sr 0.000 0.000 0.000
Sr 0.074 0.153 0.576
Li 0.882 0.763 0.238
Ti 0.298 0.596 0.057
Ti 0.344 0.688 0.417
Ti 0.400 0.802 0.727
Ti 0.655 0.311 0.898
Ti 0.684 0.365 0.270
Ti 0.762 0.525 0.604
N 0.285 0.572 0.580
N 0.683 0.368 0.726
O 0.166 0.333 0.947
O 0.219 0.437 0.264
O 0.368 0.736 0.929
O 0.391 0.781 0.226
O 0.455 0.912 0.550
O 0.530 0.060 0.839
O 0.584 0.167 0.134
O 0.648 0.294 0.438
O 0.773 0.546 0.074
O 0.828 0.656 0.397
O 0.893 0.787 0.734

=====

Record 5
Starting from a cell relaxed with GGA-PBE, the powder diffractogram of Sr2LiTi6N2O11 was computed for CuKα.
Intensities are scaled so that the largest is 100.

Largest 10 diffraction maxima, low angle first, 10 to 90 degrees two-theta:
two_theta	I/Imax
19.1	44.3
29.1	100.0
29.7	43.4
29.9	74.8
30.0	47.6
31.1	47.2
31.5	46.0
32.7	69.6
43.0	69.7
46.7	70.5

Structure:
a b c (Å): 7.798 7.798 9.388
angles (deg): 97.41 97.41 28.87
Sites, in units of the cell vectors:
Sr 0.000 0.000 0.000
Sr 0.084 0.084 0.536
Li 0.817 0.817 0.808
Ti 0.295 0.295 0.015
Ti 0.367 0.367 0.343
Ti 0.405 0.405 0.665
Ti 0.647 0.647 0.848
Ti 0.698 0.698 0.205
Ti 0.769 0.769 0.527
N 0.298 0.298 0.512
N 0.698 0.698 0.678
O 0.158 0.158 0.894
O 0.231 0.231 0.198
O 0.355 0.355 0.846
O 0.402 0.402 0.138
O 0.470 0.470 0.471
O 0.527 0.527 0.778
O 0.596 0.596 0.082
O 0.659 0.659 0.383
O 0.770 0.770 0.000
O 0.837 0.837 0.324
O 0.899 0.899 0.659

=====

Record 6
Starting from a cell relaxed with GGA-PBE, the powder diffractogram of Sr2LiTi6N2O11 was computed for CuKα.
Intensities are scaled so that the largest is 100.

Largest 10 diffraction maxima, low angle first, 10 to 90 degrees two-theta:
two_theta	I/Imax
28.8	75.7
29.5	100.0
29.6	63.4
29.9	52.2
31.1	60.2
31.2	76.4
42.6	61.1
43.2	71.3
46.3	86.1
65.2	48.4

Structure:
a b c (Å): 3.919 7.966 9.329
angles (deg): 98.51 90.02 104.18
Sites, in units of the cell vectors:
Sr 0.000 0.000 0.000
Sr 0.124 0.247 0.553
Li 0.177 0.350 0.050
Ti 0.341 0.680 0.977
Ti 0.425 0.849 0.327
Ti 0.468 0.934 0.679
Ti 0.713 0.425 0.848
Ti 0.764 0.526 0.189
Ti 0.826 0.649 0.521
N 0.423 0.845 0.849
N 0.822 0.642 0.002
O 0.213 0.425 0.865
O 0.278 0.553 0.187
O 0.356 0.710 0.514
O 0.450 0.900 0.140
O 0.528 0.055 0.439
O 0.590 0.177 0.739
O 0.656 0.308 0.058
O 0.727 0.451 0.380
O 0.757 0.512 0.668
O 0.889 0.777 0.325
O 0.957 0.912 0.633

=====

Record 7
Starting from a cell relaxed with GGA-PBE, the powder diffractogram of Sr2LiTi6N2O11 was computed for CuKα.
Intensities are scaled so that the largest is 100.

Largest 10 diffraction maxima, low angle first, 10 to 90 degrees two-theta:
two_theta	I/Imax
23.9	43.0
27.9	100.0
28.0	31.9
29.4	70.3
29.5	80.8
31.2	62.2
32.1	46.5
34.1	44.8
46.8	58.6
55.3	32.0

Structure:
a b c (Å): 3.884 7.797 9.800
angles (deg): 103.00 90.00 104.41
Sites, in units of the cell vectors:
Sr 0.000 0.000 0.000
Sr 0.130 0.257 0.435
Li 0.065 0.129 0.717
Ti 0.317 0.632 0.949
Ti 0.407 0.812 0.286
Ti 0.436 0.871 0.665
Ti 0.700 0.398 0.771
Ti 0.728 0.455 0.129
Ti 0.813 0.623 0.465
N 0.401 0.800 0.829
N 0.789 0.576 0.958
O 0.195 0.388 0.794
O 0.260 0.518 0.144
O 0.336 0.670 0.475
O 0.431 0.861 0.111
O 0.519 0.034 0.395
O 0.566 0.131 0.720
O 0.613 0.226 0.038
O 0.705 0.407 0.326
O 0.732 0.461 0.600
O 0.875 0.748 0.297
O 0.935 0.869 0.618

=====

Record 8
Starting from a cell relaxed with GGA-PBE, the powder diffractogram of Li16Ta2N8O was computed for CuKα.
Intensities are scaled so that the largest is 100.

Largest 10 diffraction maxima, low angle first, 10 to 90 degrees two-theta:
two_theta	I/Imax
18.4	100.0
20.8	24.4
22.0	69.4
29.8	32.0
32.9	24.3
35.3	19.6
36.6	32.6
37.4	17.5
46.8	17.4
52.7	20.6

Structure:
a b c (Å): 9.199 9.199 9.199
angles (deg): 38.07 38.07 38.07
Sites, in units of the cell vectors:
Li 0.057 0.682 0.331
Li 0.078 0.078 0.078
Li 0.167 0.826 0.581
Li 0.174 0.419 0.833
Li 0.318 0.669 0.943
Li 0.331 0.057 0.682
Li 0.417 0.417 0.417
Li 0.419 0.833 0.174
Li 0.581 0.167 0.826
Li 0.583 0.583 0.583
Li 0.669 0.943 0.318
Li 0.682 0.331 0.057
Li 0.826 0.581 0.167
Li 0.833 0.174 0.419
Li 0.922 0.922 0.922
Li 0.943 0.318 0.669
Ta 0.249 0.249 0.249
Ta 0.751 0.751 0.751
N 0.087 0.774 0.465
N 0.226 0.535 0.913
N 0.326 0.326 0.326
N 0.465 0.087 0.774
N 0.535 0.913 0.226
N 0.674 0.674 0.674
N 0.774 0.465 0.087
N 0.913 0.226 0.535
O 0.000 0.000 0.000

=====

Record 9
Starting from a cell relaxed with GGA-PBE, the powder diffractogram of LiOsN2 was computed for CuKα.
Intensities are scaled so that the largest is 100.

Largest 10 diffraction maxima, low angle first, 10 to 90 degrees two-theta:
two_theta	I/Imax
21.3	100.0
33.4	70.2
34.8	25.9
38.6	17.7
44.6	26.6
53.0	17.8
55.8	9.7
56.0	19.5
66.6	19.3
66.9	9.5

Structure:
a b c (Å): 5.685 5.685 5.685
angles (deg): 131.60 131.60 70.86
Sites, in units of the cell vectors:
Li 0.000 0.000 0.000
Li 0.750 0.250 0.500
Os 0.250 0.750 0.500
Os 0.500 0.500 0.000
N 0.170 0.125 0.545
N 0.375 0.830 0.955
N 0.580 0.625 0.455
N 0.875 0.420 0.045

=====

Record 10
Starting from a cell relaxed with GGA-PBE, the powder diffractogram of LiOs2N3 was computed for CuKα.
Intensities are scaled so that the largest is 100.

Largest 10 diffraction maxima, low angle first, 10 to 90 degrees two-theta:
two_theta	I/Imax
18.7	73.6
25.0	55.1
30.5	42.7
35.3	51.6
36.8	100.0
40.2	30.2
47.3	26.3
53.8	31.6
58.3	26.2
64.3	23.5

Structure:
a b c (Å): 5.583 5.583 5.085
angles (deg): 90.00 90.00 63.43
Sites, in units of the cell vectors:
Li 0.179 0.821 0.500
Li 0.821 0.179 0.000
Os 0.106 0.528 0.016
Os 0.472 0.894 0.016
Os 0.528 0.106 0.516
Os 0.894 0.472 0.516
N 0.172 0.828 0.080
N 0.234 0.446 0.644
N 0.446 0.234 0.144
N 0.554 0.766 0.644
N 0.766 0.554 0.144
N 0.828 0.172 0.580

=====

Copy entry 7 word for word.
Starting from a cell relaxed with GGA-PBE, the powder diffractogram of Sr2LiTi6N2O11 was computed for CuKα.
Intensities are scaled so that the largest is 100.

Largest 10 diffraction maxima, low angle first, 10 to 90 degrees two-theta:
two_theta	I/Imax
23.9	43.0
27.9	100.0
28.0	31.9
29.4	70.3
29.5	80.8
31.2	62.2
32.1	46.5
34.1	44.8
46.8	58.6
55.3	32.0

Structure:
a b c (Å): 3.884 7.797 9.800
angles (deg): 103.00 90.00 104.41
Sites, in units of the cell vectors:
Sr 0.000 0.000 0.000
Sr 0.130 0.257 0.435
Li 0.065 0.129 0.717
Ti 0.317 0.632 0.949
Ti 0.407 0.812 0.286
Ti 0.436 0.871 0.665
Ti 0.700 0.398 0.771
Ti 0.728 0.455 0.129
Ti 0.813 0.623 0.465
N 0.401 0.800 0.829
N 0.789 0.576 0.958
O 0.195 0.388 0.794
O 0.260 0.518 0.144
O 0.336 0.670 0.475
O 0.431 0.861 0.111
O 0.519 0.034 0.395
O 0.566 0.131 0.720
O 0.613 0.226 0.038
O 0.705 0.407 0.326
O 0.732 0.461 0.600
O 0.875 0.748 0.297
O 0.935 0.869 0.618